Starting from a cell relaxed with PBE, the PXRD pattern of K3UO2F5 was calculated for Cu Kα (λ = 1.5418 Å).
Neutral-atom scattering factors, no anomalous dispersion.

Principal peaks in the range 2θ = 15–90°, low angle first:
2theta  d (Å)  Rel. int.  index
16.57  5.350  100  1 1 2
19.11  4.645  45  2 0 0
27.15  3.285  35  2 2 0
27.26  3.272  62  2 0 4
31.97  2.799  30  1 3 2
38.77  2.323  22  4 0 0
43.60  2.076  19  2 4 0
48.04  1.894  31  2 4 4

a b c (Å): 9.291 9.291 18.435
angles (deg): 90.00 90.00 90.00
Space group I4_1/a (No. 88, origin choice 2)
One atom of each set of equivalent atoms:
1 K 0.000 0.250 0.125 x4
2 K 0.000 0.250 0.625 x4
3 K 0.216 0.016 0.489 x16
4 U 0.000 0.250 0.356 x8
5 O 0.045 0.444 0.895 x16
6 F 0.000 0.250 0.480 x8
7 F 0.020 0.393 0.257 x16
8 F 0.052 0.479 0.395 x16